# La4NiIr3
Theoretical X-ray powder pattern, λ = 1.5418 Å (Cu Kα). Input: DFT lattice parameters and positions (GGA-PBE).
Intensities are scaled so that the largest is 100.

The 10 most intense peaks (2θ = 5–70°), in order of rising 2θ:
| (hkl) | 2θ/deg | d (Å) | intensity |
| --- | --- | --- | --- |
| 1 1 1 | 31.6 | 2.833 | 100 |
| 0 0 4 | 31.9 | 2.803 | 32 |
| 1 0 3 | 32.7 | 2.742 | 20 |
| 0 1 4 | 38.5 | 2.341 | 27 |
| 1 1 3 | 39.1 | 2.305 | 85 |
| 0 2 0 | 42.5 | 2.129 | 28 |
| 2 0 0 | 44.9 | 2.017 | 24 |
| 0 2 4 | 54.1 | 1.695 | 14 |
| 2 1 4 | 60.6 | 1.528 | 15 |
| 2 2 0 | 63.5 | 1.464 | 17 |

Structure:
```
data_La4NiIr3
_chemical_formula_sum 'La4 Ni1 Ir3'
_cell_length_a 4.0338
_cell_length_b 4.2572
_cell_length_c 11.2124
_cell_angle_alpha 90.00
_cell_angle_beta 90.00
_cell_angle_gamma 90.00
_space_group_name_H-M_alt 'P 1'
_space_group_IT_number 1
loop_
_space_group_symop_operation_xyz
'x,y,z'
loop_
_atom_site_label
_atom_site_type_symbol
_atom_site_fract_x
_atom_site_fract_y
_atom_site_fract_z
La1 La 0.0000 0.0000 0.0000
La2 La 0.0000 0.5000 0.2749
La3 La 0.5000 0.0000 0.4946
La4 La 0.5000 0.5000 0.7746
Ni1 Ni 0.0000 0.0000 0.7074
Ir1 Ir 0.0000 0.5000 0.5643
Ir2 Ir 0.5000 0.0000 0.2250
Ir3 Ir 0.5000 0.5000 0.0421
```